[1]
This entry pairs a crystal structure of CeSi2 with its calculated powder XRD pattern. Radiation: a wavelength of 1.5418 Å. Structure: the GGA-PBE geometry in Alexandria.
Intensities are scaled so that the largest is 100.

Structural model:
```
CeSi2
1.0
6.069 0.000 0.000
0.000 3.898 0.000
0.000 0.000 10.662
Ce Si
4 8
Cartesian
1.349 0.974 1.105
1.685 2.923 6.436
4.383 0.974 4.226
4.720 2.923 9.557
0.695 0.974 8.523
1.292 0.974 4.173
1.743 2.923 9.504
2.339 2.923 3.192
3.730 0.974 7.470
4.326 0.974 1.158
4.777 2.923 6.489
5.373 2.923 2.139
```

Largest 8 diffraction maxima, sorted by position, 2θ from 5° to 70°:
2θ = 22.20°, I 85; 2θ = 24.31°, I 45; 2θ = 28.47°, I 94; 2θ = 29.44°, I 59; 2θ = 33.62°, I 33; 2θ = 34.14°, I 100; 2θ = 38.54°, I 47; 2θ = 45.69°, I 63

=====

[2]
This entry pairs a crystal structure of Pm7Ga2Os2 with its calculated powder XRD pattern. Radiation: a wavelength of 1.5418 Å. Structure: the GGA-PBE geometry in Alexandria.
Intensities are scaled so that the largest is 100.

Structural model:
```
Pm7Ga2Os2
1.0
4.039 -5.573 0.000
4.039 5.573 0.000
0.000 0.000 7.080
Pm Ga Os
7 2 2
Cartesian
0.000 0.000 0.000
2.019 2.787 1.842
2.019 2.787 5.238
2.019 -2.787 1.842
2.019 -2.787 5.238
4.039 0.000 1.807
4.039 0.000 5.273
1.304 0.000 3.540
6.773 0.000 3.540
4.039 2.258 0.000
4.039 -2.258 0.000
```

Largest 8 diffraction maxima, sorted by position, 2θ from 5° to 70°:
2θ = 12.50°, I 30; 2θ = 25.39°, I 42; 2θ = 27.27°, I 41; 2θ = 28.67°, I 28; 2θ = 32.12°, I 54; 2θ = 33.67°, I 30; 2θ = 36.79°, I 56; 2θ = 37.44°, I 100

=====

[3]
This entry pairs a crystal structure of Tb12DyY5 with its calculated powder XRD pattern. Radiation: a wavelength of 1.5418 Å. Structure: the GGA-PBE geometry in Alexandria.
Intensities are scaled so that the largest is 100.

Structural model:
```
Tb12DyY5
1.0
10.679 0.000 0.000
0.000 5.037 0.000
-0.015 0.000 10.693
Tb Dy Y
12 1 5
Cartesian
0.002 0.000 3.567
1.764 2.518 5.338
1.779 2.518 1.784
3.546 0.000 3.556
3.562 0.000 0.007
5.328 2.518 1.774
5.335 2.518 8.919
7.101 0.000 10.686
7.117 0.000 7.137
8.885 2.518 8.909
8.900 2.518 5.355
10.662 0.000 7.126
0.000 0.000 0.000
1.763 2.518 8.915
3.551 0.000 7.128
5.332 2.518 5.347
7.113 0.000 3.565
8.900 2.518 1.778
```

Largest 8 diffraction maxima, sorted by position, 2θ from 5° to 70°:
2θ = 11.72°, I 4; 2θ = 25.69°, I 3; 2θ = 30.74°, I 100; 2θ = 35.65°, I 50; 2θ = 51.30°, I 36; 2θ = 61.00°, I 35; 2θ = 61.06°, I 7; 2θ = 64.03°, I 12